The following is a computed powder diffractogram of Ca3CdP. It was derived from a DFT-relaxed cell (GGA-PBE, Alexandria), using Cu Kα (weighted mean of Kα1 and Kα2).
Kinematic intensities with the Lorentz-polarization factor, no thermal factor.

Peak list (10 most intense, 2θ = 10–80°, most intense first)
hkl  d_spacing  Position (°2θ)  I/Imax
1 1 1  2.816  31.78  1000
1 0 4  3.069  29.10  618
0 1 5  2.604  34.44  533
0 1 3  3.220  27.70  283
0 0 4  4.428  20.05  254
2 1 5  1.648  55.78  243
1 0 6  2.426  37.06  243
2 0 0  2.128  42.47  203
1 0 2  3.836  23.18  202
0 2 0  1.920  47.34  195

Crystal structure
Cell: 4.257 3.842 17.712 Å, 90.00 90.00 90.00°
Space group Amm2 (No. 38)
One atom of each set of equivalent atoms:
Ca 0.000 0.000 0.000
Ca 0.000 0.000 0.207
Ca 0.500 0.000 0.364
Cd 0.500 0.000 0.592
P 0.000 0.000 0.834